The following is a calculated powder diffraction line list of Pr3Nd6Er2. It was derived from a DFT-relaxed cell (PBE, Alexandria), using Cu Ka.
Neutral-atom scattering factors, no anomalous dispersion.

Largest 12 diffraction maxima, by angle, 2θ = 10–90°:
| d (Å) | Rel. int. |
| --- | --- |
| 3.101 | 10 |
| 2.917 | 78 |
| 2.904 | 100 |
| 2.175 | 7 |
| 2.058 | 29 |
| 1.687 | 6 |
| 1.678 | 50 |
| 1.576 | 12 |
| 1.452 | 13 |
| 1.303 | 6 |
| 1.300 | 13 |
| 1.098 | 19 |

Crystal structure
```
data_Pr3Nd6Er2
_symmetry_space_group_name_H-M 'R -3 m'
_symmetry_Int_Tables_number 166
_symmetry_space_group_name_Hall '-R 3 2"'
_cell_length_a 5.8080
_cell_length_b 5.8080
_cell_length_c 39.3931
_cell_angle_alpha 90.00
_cell_angle_beta 90.00
_cell_angle_gamma 120.00
loop_
_atom_site_label
_atom_site_fract_x
_atom_site_fract_y
_atom_site_fract_z
Pr1 0.0000 0.0000 0.0000
Pr2 0.0000 0.0000 0.2830
Nd1 0.0000 0.0000 0.0918
Nd2 0.0000 0.0000 0.1866
Nd3 0.0000 0.0000 0.3758
Er1 0.0000 0.0000 0.4597
```